Entry 1:
This entry pairs a crystal structure of Tb2In2Ag with its computed X-ray diffraction stick pattern. Radiation: Cu Kα, 1.54184 Å. Structure: a cell relaxed with PBE.
Kinematic intensities with the Lorentz-polarization factor, no thermal factor.

Main lines, low angle first (2θ = 10–90°):
| 2theta | I (rel.) |
| --- | --- |
| 32.3 | 100.0 |
| 35.0 | 54.6 |
| 35.3 | 86.3 |
| 36.5 | 23.9 |
| 37.9 | 39.3 |
| 52.5 | 33.8 |
| 64.6 | 28.7 |
| 64.7 | 18.1 |

Crystal structure
a = 3.5049 Å, b = 4.7472 Å, c = 15.0726 Å
α = 90.00°, β = 90.00°, γ = 90.00°
Space group Amm2 (No. 38)
Unique sites:
1 Tb 0.0000 0.0000 0.0000 x2
2 Tb 0.0000 0.0000 0.2296 x2
3 In 0.5000 0.0000 0.6117 x2
4 In 0.5000 0.0000 0.8167 x2
5 Ag 0.5000 0.0000 0.4166 x2

Entry 2:
This entry pairs a crystal structure of Sr2Ge4Pt3 with its computed X-ray diffraction stick pattern. Radiation: Cu Kα, 1.54184 Å. Structure: a cell relaxed with PBE.
Kinematic intensities with the Lorentz-polarization factor, no thermal factor.

Main lines, low angle first (2θ = 10–90°):
| 2theta | I (rel.) |
| --- | --- |
| 13.9 | 100.0 |
| 34.4 | 38.7 |
| 35.9 | 36.8 |
| 36.9 | 81.3 |
| 37.3 | 34.6 |
| 38.7 | 67.5 |
| 42.5 | 52.0 |
| 46.1 | 34.6 |

Crystal structure
a = 5.6949 Å, b = 10.4244 Å, c = 12.7624 Å
α = 90.00°, β = 90.00°, γ = 90.00°
Space group Fmmm (No. 69)
Unique sites:
1 Sr 0.0000 0.0000 0.1361 x8
2 Ge 0.0000 0.1729 0.3442 x16
3 Pt 0.0000 0.0000 0.5000 x4
4 Pt 0.2500 0.2500 0.0000 x8